[1]
Calculated XRD peak list of Pm6SmDy5 for Cu Kα, from a cell relaxed with GGA-PBE.
Lines closer than 0.1° are merged.

Largest 10 diffraction maxima, low angle first, 2θ = 10–90°:
2theta  d_spacing  I (rel.)
30.40  2.941  100
35.19  2.550  34
35.34  2.540  17
50.67  1.802  24
50.74  1.799  12
60.20  1.537  29
60.39  1.533  14
63.24  1.470  12
82.62  1.168  12
85.08  1.140  8

```
12
Lattice="-2.551 5.080 7.648 2.551 -5.080 7.648 2.551 5.080 -7.648" Properties=species:S:1:pos:R:3 pbc="T T T"
Pm 2.551 2.532 -2.552
Pm 0.000 2.528 0.000
Pm 2.551 2.532 2.552
Pm 0.000 2.548 5.096
Pm 0.000 7.633 0.000
Pm 0.000 2.548 10.200
Sm 0.000 0.000 7.648
Dy 2.551 0.000 0.000
Dy 0.000 0.000 2.552
Dy 2.551 0.000 5.093
Dy 0.000 5.080 2.555
Dy 0.000 0.000 12.745
```

***

[2]
Calculated XRD peak list of DyYTmZr for Cu Kα, from a cell relaxed with GGA-PBE.
Lines closer than 0.1° are merged.

Largest 10 diffraction maxima, low angle first, 2θ = 10–90°:
2theta  d_spacing  I (rel.)
20.44  4.344  11
31.93  2.803  100
36.99  2.430  34
37.12  2.422  17
53.38  1.716  35
63.50  1.465  27
63.68  1.461  14
66.75  1.401  12
87.50  1.115  6
87.66  1.113  12

```
8
Lattice="4.860 0.000 0.000 0.000 4.860 0.000 0.000 0.000 9.687" Properties=species:S:1:pos:R:3 pbc="T T T"
Dy 0.000 0.000 0.000
Dy 2.430 2.430 4.844
Y 0.000 2.430 2.422
Y 2.430 0.000 7.265
Tm 0.000 2.430 7.265
Tm 2.430 0.000 2.422
Zr 0.000 0.000 4.844
Zr 2.430 2.430 0.000
```

***

[3]
Calculated XRD peak list of Ho3Te2Rh for Cu Kα, from a cell relaxed with GGA-PBE.
Lines closer than 0.1° are merged.

Largest 10 diffraction maxima, low angle first, 2θ = 10–90°:
2theta  d_spacing  I (rel.)
29.16  3.063  34
29.92  2.987  100
32.29  2.773  28
42.27  2.138  49
42.82  2.112  38
52.64  1.739  26
59.50  1.554  18
70.51  1.336  17
76.05  1.251  16
78.05  1.224  16

```
12
Lattice="4.224 0.000 0.000 0.000 4.224 0.000 0.000 0.000 18.376" Properties=species:S:1:pos:R:3 pbc="T T T"
Ho 0.000 0.000 0.000
Ho 0.000 0.000 6.610
Ho 0.000 0.000 11.766
Ho 2.112 2.112 2.578
Ho 2.112 2.112 9.188
Ho 2.112 2.112 15.798
Te 0.000 0.000 3.280
Te 0.000 0.000 15.096
Te 2.112 2.112 5.908
Te 2.112 2.112 12.468
Rh 0.000 0.000 9.188
Rh 2.112 2.112 0.000
```

***

[4]
Calculated XRD peak list of RbAcTeO6 for Cu Kα, from a cell relaxed with GGA-PBE.
Lines closer than 0.1° are merged.

Largest 10 diffraction maxima, low angle first, 2θ = 10–90°:
2theta  d_spacing  I (rel.)
14.82  5.978  51
16.68  5.316  17
22.38  3.972  100
29.09  3.069  53
32.80  2.730  31
37.01  2.429  26
42.20  2.141  53
47.76  1.905  27
51.58  1.772  16
60.77  1.524  14

```
9
Lattice="6.138 0.000 0.000 -3.069 5.316 0.000 0.000 0.000 5.978" Properties=species:S:1:pos:R:3 pbc="T T T"
Rb 0.000 0.000 0.000
Ac 0.000 3.544 2.989
Te 3.069 1.772 2.989
O 2.317 0.355 4.089
O 1.466 1.829 1.889
O 3.822 0.355 1.889
O 2.219 3.132 4.089
O 4.672 1.829 4.089
O 3.920 3.132 1.889
```

***

[5]
Calculated XRD peak list of KHgP3O9 for Cu Kα, from a cell relaxed with GGA-PBE.
Lines closer than 0.1° are merged.

Largest 10 diffraction maxima, low angle first, 2θ = 10–90°:
2theta  d_spacing  I (rel.)
15.48  5.723  53
15.95  5.555  100
18.68  4.750  43
23.06  3.857  69
26.11  3.412  38
27.31  3.266  48
28.10  3.176  61
28.99  3.080  46
35.32  2.541  31
41.96  2.153  40

```
56
Lattice="5.727 0.000 0.000 0.000 11.445 0.000 0.000 0.000 12.707" Properties=species:S:1:pos:R:3 pbc="T T T"
K 0.543 1.353 1.000
K 2.320 10.092 7.354
K 3.406 4.369 11.707
K 5.184 7.076 5.353
Hg 0.544 5.506 1.746
Hg 2.319 5.939 8.099
Hg 3.408 0.217 10.961
Hg 5.182 11.228 4.608
P 0.435 2.154 10.348
P 0.605 9.624 10.837
P 0.675 6.688 11.081
P 2.188 4.757 4.727
P 2.258 1.821 4.484
P 2.428 9.291 3.994
P 3.298 3.568 2.360
P 3.468 7.544 1.870
P 3.538 10.479 1.626
P 5.052 0.966 7.980
P 5.122 3.901 8.223
P 5.292 7.877 8.713
O 0.091 5.793 12.138
O 0.143 4.893 7.390
O 0.350 3.537 9.500
O 0.452 1.055 9.157
O 0.677 8.211 11.635
O 0.825 7.762 7.879
O 0.867 5.125 4.106
O 0.881 1.475 3.960
O 1.116 9.338 4.712
O 1.748 2.107 11.065
O 1.983 9.970 10.313
O 1.996 6.320 10.459
O 2.038 3.683 1.525
O 2.186 3.234 5.281
O 2.411 10.390 2.803
O 2.513 7.908 3.146
O 2.720 6.552 1.036
O 2.772 5.652 5.784
O 2.955 11.375 0.570
O 3.007 0.830 5.317
O 3.214 2.185 3.207
O 3.316 4.667 3.551
O 3.541 8.957 1.072
O 3.689 9.405 4.829
O 3.731 0.598 8.601
O 3.744 4.247 8.747
O 3.979 7.829 7.996
O 4.611 3.616 1.642
O 4.846 7.198 2.394
O 4.859 10.847 2.248
O 4.901 2.040 11.182
O 5.049 2.488 7.426
O 5.274 6.778 9.904
O 5.376 9.260 9.561
O 5.583 10.615 11.671
O 5.635 0.071 6.923
```

***

[6]
Calculated XRD peak list of AcYb6 for Cu Kα, from a cell relaxed with GGA-PBE.
Lines closer than 0.1° are merged.

Largest 10 diffraction maxima, low angle first, 2θ = 10–90°:
2theta  d_spacing  I (rel.)
20.32  4.371  41
24.95  3.569  100
35.57  2.524  27
38.53  2.336  65
41.31  2.186  33
46.45  1.955  19
48.87  1.864  17
57.76  1.596  20
59.85  1.545  22
65.86  1.418  21

```
14
Lattice="8.742 0.000 0.000 0.000 8.742 0.000 0.000 0.000 8.742" Properties=species:S:1:pos:R:3 pbc="T T T"
Ac 0.000 0.000 0.000
Ac 4.371 4.371 4.371
Yb 0.000 2.186 4.371
Yb 0.000 4.371 2.186
Yb 0.000 4.371 6.557
Yb 0.000 6.557 4.371
Yb 2.186 0.000 4.371
Yb 2.186 4.371 0.000
Yb 4.371 0.000 2.186
Yb 4.371 0.000 6.557
Yb 4.371 2.186 0.000
Yb 4.371 6.557 0.000
Yb 6.557 0.000 4.371
Yb 6.557 4.371 0.000
```

***

Please write out number 2 again, unchanged.
Calculated XRD peak list of DyYTmZr for Cu Kα, from a cell relaxed with GGA-PBE.
Lines closer than 0.1° are merged.

Largest 10 diffraction maxima, low angle first, 2θ = 10–90°:
2theta  d_spacing  I (rel.)
20.44  4.344  11
31.93  2.803  100
36.99  2.430  34
37.12  2.422  17
53.38  1.716  35
63.50  1.465  27
63.68  1.461  14
66.75  1.401  12
87.50  1.115  6
87.66  1.113  12

```
8
Lattice="4.860 0.000 0.000 0.000 4.860 0.000 0.000 0.000 9.687" Properties=species:S:1:pos:R:3 pbc="T T T"
Dy 0.000 0.000 0.000
Dy 2.430 2.430 4.844
Y 0.000 2.430 2.422
Y 2.430 0.000 7.265
Tm 0.000 2.430 7.265
Tm 2.430 0.000 2.422
Zr 0.000 0.000 4.844
Zr 2.430 2.430 0.000
```